# 1
Calculated X-ray diffraction stick pattern of Cs2SnGe3O9 for Cu Kα X-rays, from a PBE-relaxed structure.
Kinematic intensities with the Lorentz-polarization factor, no thermal factor.

Most intense lines, 2θ = 10–90°, low angle first:
2θ = 24.03°, rel. 40.8; 2θ = 28.79°, rel. 61.3; 2θ = 29.09°, rel. 48.1; 2θ = 29.40°, rel. 100.0; 2θ = 45.75°, rel. 25.8; 2θ = 51.59°, rel. 22.0

Cell and atoms:
abc: 7.4059 7.4059 10.6280
angles: 90.00 90.00 120.00
Fractional coordinates of all 30 atoms:
Cs 0.3333 0.6667 0.0601
Cs 0.3333 0.6667 0.4399
Cs 0.6667 0.3333 0.5601
Cs 0.6667 0.3333 0.9399
Sn 0.0000 0.0000 0.0000
Sn 0.0000 0.0000 0.5000
Ge 0.1408 0.3743 0.7500
Ge 0.2335 0.8592 0.7500
Ge 0.3743 0.2335 0.2500
Ge 0.6257 0.7665 0.7500
Ge 0.7665 0.1408 0.2500
Ge 0.8592 0.6257 0.2500
O 0.0289 0.2472 0.6088
O 0.0289 0.2472 0.8912
O 0.0747 0.5806 0.7500
O 0.2183 0.9711 0.6088
O 0.2183 0.9711 0.8912
O 0.2472 0.2183 0.1088
O 0.2472 0.2183 0.3912
O 0.4194 0.4941 0.7500
O 0.4941 0.0747 0.2500
O 0.5059 0.9253 0.7500
O 0.5806 0.5059 0.2500
O 0.7528 0.7817 0.6088
O 0.7528 0.7817 0.8912
O 0.7817 0.0289 0.1088
O 0.7817 0.0289 0.3912
O 0.9253 0.4194 0.2500
O 0.9711 0.7528 0.1088
O 0.9711 0.7528 0.3912

# 2
Calculated X-ray diffraction stick pattern of FeCl2 for Cu Kα X-rays, from a PBE-relaxed structure.
Kinematic intensities with the Lorentz-polarization factor, no thermal factor.

Most intense lines, 2θ = 10–90°, low angle first:
2θ = 13.27°, rel. 100.0; 2θ = 29.61°, rel. 19.7; 2θ = 34.42°, rel. 73.7; 2θ = 43.37°, rel. 22.0; 2θ = 46.96°, rel. 23.2; 2θ = 51.88°, rel. 21.3

Cell and atoms:
abc: 6.9743 6.9743 6.9743
angles: 29.27 29.27 29.27
Fractional coordinates of all 3 atoms:
Fe 0.0000 0.0000 0.0000
Cl 0.2633 0.2633 0.2633
Cl 0.7367 0.7367 0.7367

# 3
Calculated X-ray diffraction stick pattern of ZrMnGe2 for Cu Kα X-rays, from a PBE-relaxed structure.
Kinematic intensities with the Lorentz-polarization factor, no thermal factor.

Most intense lines, 2θ = 10–90°, low angle first:
2θ = 36.52°, rel. 39.2; 2θ = 37.44°, rel. 72.2; 2θ = 39.25°, rel. 48.8; 2θ = 39.58°, rel. 100.0; 2θ = 41.80°, rel. 43.4; 2θ = 44.53°, rel. 27.2

Cell and atoms:
abc: 9.3341 10.2023 8.1385
angles: 90.00 90.00 90.00
Fractional coordinates of all 48 atoms:
Zr 0.1645 0.1792 0.0000
Zr 0.1717 0.4530 0.2462
Zr 0.1717 0.4530 0.7538
Zr 0.3283 0.9530 0.2462
Zr 0.3283 0.9530 0.7538
Zr 0.3355 0.6792 0.0000
Zr 0.6645 0.3208 0.0000
Zr 0.6717 0.0470 0.2462
Zr 0.6717 0.0470 0.7538
Zr 0.8283 0.5470 0.2462
Zr 0.8283 0.5470 0.7538
Zr 0.8355 0.8208 0.0000
Mn 0.0000 0.0000 0.2460
Mn 0.0000 0.0000 0.7540
Mn 0.0878 0.7523 0.2504
Mn 0.0878 0.7523 0.7496
Mn 0.4122 0.2523 0.2504
Mn 0.4122 0.2523 0.7496
Mn 0.5000 0.5000 0.2460
Mn 0.5000 0.5000 0.7540
Mn 0.5878 0.7477 0.2504
Mn 0.5878 0.7477 0.7496
Mn 0.9122 0.2477 0.2504
Mn 0.9122 0.2477 0.7496
Ge 0.0416 0.6206 0.0000
Ge 0.0515 0.6196 0.5000
Ge 0.1238 0.9009 0.5000
Ge 0.1300 0.8971 0.0000
Ge 0.1616 0.1818 0.3427
Ge 0.1616 0.1818 0.6573
Ge 0.3384 0.6818 0.3427
Ge 0.3384 0.6818 0.6573
Ge 0.3700 0.3971 0.0000
Ge 0.3762 0.4009 0.5000
Ge 0.4485 0.1196 0.5000
Ge 0.4584 0.1206 0.0000
Ge 0.5416 0.8794 0.0000
Ge 0.5515 0.8804 0.5000
Ge 0.6238 0.5991 0.5000
Ge 0.6300 0.6029 0.0000
Ge 0.6616 0.3182 0.3427
Ge 0.6616 0.3182 0.6573
Ge 0.8384 0.8182 0.3427
Ge 0.8384 0.8182 0.6573
Ge 0.8700 0.1029 0.0000
Ge 0.8762 0.0991 0.5000
Ge 0.9485 0.3804 0.5000
Ge 0.9584 0.3794 0.0000